La3PrTl: computed powder XRD pattern (Cu Kα (λ = 1.5418 Å)), based on a DFT-relaxed cell (GGA-PBE, Alexandria).
Neutral-atom scattering factors, no anomalous dispersion.

Structural model:
```
La3PrTl
1.0
3.019 -9.290 0.000
3.019 9.290 0.000
0.000 0.000 6.003
La Pr Tl
6 2 2
Direct
0.057 0.943 0.750
0.249 0.751 0.750
0.443 0.557 0.750
0.557 0.443 0.250
0.751 0.249 0.250
0.943 0.057 0.250
0.353 0.647 0.250
0.647 0.353 0.750
0.151 0.849 0.250
0.849 0.151 0.750
```

Principal peaks in the range 10 to 90 degrees two-theta, by angle:
| 2θ/deg | intensity |
| --- | --- |
| 29.59 | 31.2 |
| 29.77 | 30.7 |
| 31.97 | 100.0 |
| 42.47 | 23.5 |
| 49.03 | 8.7 |
| 54.02 | 22.8 |
| 54.23 | 22.5 |
| 58.31 | 8.5 |
| 66.83 | 11.9 |
| 71.12 | 10.2 |